For Li2Ag4Sb, a cell relaxed with PBE gives the calculated powder XRD pattern in this record (CuKα).
Lines closer than 0.1° are merged.

Peak list (6 most intense, 2θ = 10–80°, by intensity)
2θ/deg  Rel. int.
38.8  100
26.9  88
38.0  76
15.1  64
39.1  58
39.3  56

Structural model:
```
Li2Ag4Sb
1.0
4.9373 0.0000 0.0000
0.0000 11.6996 0.0000
-1.5821 0.0000 4.7026
Li Ag Sb
4 8 2
Direct
0.1509 0.0540 0.3477
0.1509 0.4460 0.8477
0.8491 0.5540 0.1523
0.8491 0.9460 0.6523
0.1330 0.1882 0.8608
0.1330 0.3118 0.3608
0.3518 0.6871 0.1211
0.3518 0.8129 0.6211
0.6482 0.1871 0.3789
0.6482 0.3129 0.8789
0.8670 0.6882 0.6392
0.8670 0.8118 0.1392
0.5000 0.0000 0.0000
0.5000 0.5000 0.5000
```

For La8Si3SeI4, a cell relaxed with PBE gives the calculated powder XRD pattern in this record (CuKα).
Lines closer than 0.1° are merged.

Peak list (6 most intense, 2θ = 10–80°, by intensity)
2θ/deg  Rel. int.
27.9  100
40.9  39
38.7  29
30.2  23
50.2  19
54.5  16

Structural model:
```
La8Si3SeI4
1.0
7.6374 -4.4090 0.0000
7.6374 4.4090 0.0000
-5.0915 0.0000 7.8299
La Si Se I
8 3 1 4
Direct
0.2248 0.7376 0.6999
0.2337 0.2337 0.7000
0.2624 0.7752 0.3001
0.2635 0.2635 0.3007
0.7365 0.7365 0.6993
0.7376 0.2248 0.6999
0.7663 0.7663 0.3000
0.7752 0.2624 0.3001
0.0000 0.0000 0.5000
0.0000 0.5000 0.5000
0.5000 0.0000 0.5000
0.5000 0.5000 0.5000
0.0000 0.0000 0.0000
0.0000 0.5000 0.0000
0.5000 0.0000 0.0000
0.5000 0.5000 0.0000
```

For Ba2TlSb2O7, a cell relaxed with PBE gives the calculated powder XRD pattern in this record (CuKα).
Lines closer than 0.1° are merged.

Peak list (6 most intense, 2θ = 10–80°, by intensity)
2θ/deg  Rel. int.
30.1  100
26.1  94
31.8  81
46.9  57
45.6  41
33.5  38

Structural model:
```
Ba2TlSb2O7
1.0
3.9770 0.0000 0.0000
0.0000 3.9770 0.0000
0.0000 0.0000 13.3591
Ba Tl Sb O
2 1 2 7
Direct
0.0000 0.0000 0.1944
0.0000 0.0000 0.8056
0.5000 0.5000 0.0000
0.5000 0.5000 0.3873
0.5000 0.5000 0.6127
0.0000 0.0000 0.0000
0.0000 0.5000 0.3516
0.0000 0.5000 0.6484
0.5000 0.0000 0.3516
0.5000 0.0000 0.6484
0.5000 0.5000 0.1588
0.5000 0.5000 0.8412
```

For La8PmTh3, a cell relaxed with PBE gives the calculated powder XRD pattern in this record (CuKα).
Lines closer than 0.1° are merged.

Peak list (6 most intense, 2θ = 10–80°, by intensity)
2θ/deg  Rel. int.
31.7  100
28.9  31
29.8  31
58.7  28
49.4  24
54.1  22

Structural model:
```
La8PmTh3
1.0
6.3965 0.0000 0.0000
-3.1982 5.5395 0.0000
0.0000 0.0000 11.9948
La Pm Th
8 1 3
Direct
0.0000 0.3326 0.2402
0.0000 0.6674 0.7598
0.3326 0.0000 0.2402
0.3326 0.3326 0.7598
0.3333 0.6667 0.5000
0.6674 0.0000 0.7598
0.6667 0.3333 0.5000
0.6674 0.6674 0.2402
0.0000 0.0000 0.5000
0.0000 0.0000 0.0000
0.3333 0.6667 0.0000
0.6667 0.3333 0.0000
```

For RbLiFe2Br8, a cell relaxed with PBE gives the calculated powder XRD pattern in this record (CuKα).
Lines closer than 0.1° are merged.

Peak list (6 most intense, 2θ = 10–80°, by intensity)
2θ/deg  Rel. int.
29.4  100
28.1  71
17.0  60
45.2  49
28.9  45
25.1  43

Structural model:
```
RbLiFe2Br8
1.0
5.7186 -3.8346 0.0000
5.7186 3.8346 0.0000
-1.1926 0.0000 9.9773
Rb Li Fe Br
1 1 2 8
Direct
0.0000 0.0000 0.0000
0.0000 0.0000 0.5000
0.3847 0.3847 0.7132
0.6153 0.6153 0.2868
0.2430 0.2430 0.5252
0.2428 0.7411 0.2946
0.2589 0.7572 0.7054
0.3080 0.3080 0.9199
0.6921 0.6921 0.0801
0.7411 0.2428 0.2946
0.7572 0.2589 0.7054
0.7570 0.7570 0.4748
```